(1)
Li4ZnP2S8: theoretical PXRD pattern (Cu Kα), based on DFT lattice parameters and positions (GGA-PBE).

Largest 10 diffraction maxima, by angle, 2θ from 10° to 90°:
d/Å	Rel. int.
4.991	100
4.873	95
3.392	98
3.189	65
3.070	93
2.971	63
2.830	41
2.003	38
1.875	28
1.753	47

Crystal structure
a = 6.378 Å, b = 8.012 Å, c = 18.418 Å
α = 89.91°, β = 89.93°, γ = 89.81°
Space group P1 (No. 1)
Asymmetric unit:
Li 0.000 0.000 0.000 (multiplicity 1)
Li 0.000 0.004 0.342 (multiplicity 1)
Li 0.003 0.517 0.001 (multiplicity 1)
Li 0.162 0.761 0.176 (multiplicity 1)
Li 0.167 0.761 0.510 (multiplicity 1)
Li 0.453 0.253 0.011 (multiplicity 1)
Li 0.612 0.019 0.504 (multiplicity 1)
Li 0.613 0.488 0.505 (multiplicity 1)
Li 0.614 0.495 0.839 (multiplicity 1)
Li 0.619 0.492 0.169 (multiplicity 1)
Li 0.621 0.007 0.173 (multiplicity 1)
Li 0.999 0.993 0.671 (multiplicity 1)
Zn 0.000 0.497 0.338 (multiplicity 1)
Zn 0.005 0.499 0.672 (multiplicity 1)
Zn 0.610 0.998 0.835 (multiplicity 1)
P 0.110 0.251 0.834 (multiplicity 1)
P 0.136 0.249 0.172 (multiplicity 1)
P 0.138 0.255 0.507 (multiplicity 1)
P 0.490 0.759 0.003 (multiplicity 1)
P 0.500 0.743 0.670 (multiplicity 1)
P 0.507 0.746 0.337 (multiplicity 1)
S 0.099 0.258 0.060 (multiplicity 1)
S 0.130 0.249 0.722 (multiplicity 1)
S 0.140 0.259 0.394 (multiplicity 1)
S 0.188 0.759 0.042 (multiplicity 1)
S 0.191 0.740 0.373 (multiplicity 1)
S 0.193 0.738 0.708 (multiplicity 1)
S 0.421 0.239 0.874 (multiplicity 1)
S 0.425 0.254 0.551 (multiplicity 1)
S 0.433 0.251 0.208 (multiplicity 1)
S 0.481 0.755 0.890 (multiplicity 1)
S 0.515 0.746 0.225 (multiplicity 1)
S 0.525 0.753 0.559 (multiplicity 1)
S 0.623 0.966 0.707 (multiplicity 1)
S 0.627 0.961 0.374 (multiplicity 1)
S 0.636 0.543 0.037 (multiplicity 1)
S 0.638 0.970 0.040 (multiplicity 1)
S 0.641 0.526 0.373 (multiplicity 1)
S 0.644 0.529 0.707 (multiplicity 1)
S 0.973 0.030 0.867 (multiplicity 1)
S 0.980 0.043 0.539 (multiplicity 1)
S 0.982 0.473 0.542 (multiplicity 1)
S 0.984 0.041 0.210 (multiplicity 1)
S 0.986 0.469 0.210 (multiplicity 1)
S 0.987 0.466 0.870 (multiplicity 1)

***

(2)
Li10ZnP4S16: theoretical PXRD pattern (Cu Kα), based on DFT lattice parameters and positions (GGA-PBE).

Largest 10 diffraction maxima, by angle, 2θ from 10° to 90°:
d/Å	Rel. int.
5.045	56
4.860	88
3.394	40
3.368	54
3.249	62
3.078	100
2.972	56
2.279	36
1.980	36
1.756	42

Crystal structure
a = 6.156 Å, b = 7.918 Å, c = 12.997 Å
α = 90.50°, β = 90.40°, γ = 90.11°
Space group P1 (No. 1)
Asymmetric unit:
Li 0.000 0.000 0.000 (multiplicity 1)
Li 0.001 0.003 0.507 (multiplicity 1)
Li 0.007 0.514 0.499 (multiplicity 1)
Li 0.009 0.259 0.270 (multiplicity 1)
Li 0.011 0.231 0.766 (multiplicity 1)
Li 0.435 0.928 0.831 (multiplicity 1)
Li 0.500 0.508 0.186 (multiplicity 1)
Li 0.505 0.015 0.182 (multiplicity 1)
Li 0.513 0.776 0.426 (multiplicity 1)
Li 0.999 0.517 0.000 (multiplicity 1)
Zn 0.510 0.491 0.689 (multiplicity 1)
P 0.011 0.747 0.750 (multiplicity 1)
P 0.500 0.253 0.438 (multiplicity 1)
P 0.500 0.270 0.936 (multiplicity 1)
P 0.998 0.760 0.255 (multiplicity 1)
S 0.104 0.544 0.182 (multiplicity 1)
S 0.107 0.974 0.182 (multiplicity 1)
S 0.111 0.762 0.405 (multiplicity 1)
S 0.116 0.753 0.899 (multiplicity 1)
S 0.121 0.520 0.681 (multiplicity 1)
S 0.151 0.950 0.682 (multiplicity 1)
S 0.163 0.260 0.939 (multiplicity 1)
S 0.165 0.255 0.441 (multiplicity 1)
S 0.599 0.246 0.781 (multiplicity 1)
S 0.604 0.045 0.996 (multiplicity 1)
S 0.604 0.485 0.003 (multiplicity 1)
S 0.606 0.263 0.288 (multiplicity 1)
S 0.609 0.052 0.517 (multiplicity 1)
S 0.609 0.478 0.511 (multiplicity 1)
S 0.663 0.763 0.253 (multiplicity 1)
S 0.679 0.754 0.721 (multiplicity 1)